1.
For BaMgV2Ni3H2O10, a DFT-relaxed cell (PBE+U, Alexandria) gives the simulated powder diffraction line list in this record (λ = 1.5418 Å (Cu Kα)).
Lines closer than 0.1° are merged.

Top 10 peaks for 2θ = 10–80°, in order of rising 2θ:
- 2θ = 12.33°, d = 7.176 Å, rel. 78
- 2θ = 17.47°, d = 5.077 Å, rel. 48
- 2θ = 24.76°, d = 3.595 Å, rel. 73
- 2θ = 27.83°, d = 3.205 Å, rel. 100
- 2θ = 27.96°, d = 3.191 Å, rel. 73
- 2θ = 32.40°, d = 2.763 Å, rel. 75
- 2θ = 34.09°, d = 2.630 Å, rel. 70
- 2θ = 34.25°, d = 2.618 Å, rel. 82
- 2θ = 35.09°, d = 2.557 Å, rel. 50
- 2θ = 39.28°, d = 2.294 Å, rel. 48

Cell and atoms:
a b c (Å): 5.978 6.016 7.561
angles (deg): 90.20 106.01 118.30
Atoms (fractional coordinates):
Ba: 0.000 0.000 0.000
Mg: 0.597 0.537 0.204
V: 0.105 0.579 0.308
V: 0.295 0.657 0.788
Ni: 0.190 0.107 0.552
Ni: 0.695 0.118 0.552
Ni: 0.703 0.613 0.566
H: 0.661 0.358 0.832
H: 0.691 0.940 0.276
O: 0.095 0.306 0.719
O: 0.096 0.822 0.722
O: 0.282 0.919 0.371
O: 0.285 0.401 0.319
O: 0.484 0.740 0.032
O: 0.573 0.803 0.690
O: 0.583 0.309 0.694
O: 0.792 0.906 0.390
O: 0.807 0.424 0.402
O: 0.856 0.525 0.077

***

2.
For BaMgV2Ni3H2O10, a DFT-relaxed cell (PBE+U, Alexandria) gives the simulated powder diffraction line list in this record (λ = 1.5418 Å (Cu Kα)).
Lines closer than 0.1° are merged.

Top 10 peaks for 2θ = 10–80°, in order of rising 2θ:
- 2θ = 18.88°, d = 4.699 Å, rel. 44
- 2θ = 23.94°, d = 3.718 Å, rel. 54
- 2θ = 26.21°, d = 3.400 Å, rel. 48
- 2θ = 26.44°, d = 3.371 Å, rel. 95
- 2θ = 30.04°, d = 2.974 Å, rel. 51
- 2θ = 31.93°, d = 2.803 Å, rel. 44
- 2θ = 32.64°, d = 2.744 Å, rel. 45
- 2θ = 38.32°, d = 2.349 Å, rel. 100
- 2θ = 47.50°, d = 1.914 Å, rel. 45
- 2θ = 54.44°, d = 1.686 Å, rel. 50

Cell and atoms:
a b c (Å): 5.951 5.951 8.117
angles (deg): 110.21 110.21 61.13
Atoms (fractional coordinates):
Ba: 0.000 0.000 0.000
Mg: 0.500 0.500 0.500
V: 0.394 0.394 0.183
V: 0.606 0.606 0.817
Ni: 0.000 0.000 0.500
Ni: 0.000 0.500 0.500
Ni: 0.500 0.000 0.500
H: 0.241 0.241 0.752
H: 0.759 0.759 0.248
O: 0.205 0.205 0.617
O: 0.254 0.715 0.687
O: 0.285 0.746 0.313
O: 0.286 0.286 0.328
O: 0.288 0.288 0.956
O: 0.712 0.712 0.044
O: 0.714 0.714 0.672
O: 0.715 0.254 0.687
O: 0.746 0.285 0.313
O: 0.795 0.795 0.383